Structure and calculated powder X-ray diffraction pattern of DyMg2Ga2Au2 (a PBE-relaxed structure; Cu Kα (λ = 1.5418 Å)).
Peak positions follow from Bragg's law for the DFT cell and can differ from measured ones.

Structural model:
abc: 8.3741 8.3741 8.3741
angles: 31.38 31.38 31.38
Element x y z (fractional)
1 Dy 0.0000 0.0000 0.0000
2 Mg 0.1336 0.1336 0.1336
3 Mg 0.8664 0.8664 0.8664
4 Ga 0.4007 0.4007 0.4007
5 Ga 0.5993 0.5993 0.5993
6 Au 0.2520 0.2520 0.2520
7 Au 0.7480 0.7480 0.7480

Most intense lines, 10 to 90 degrees two-theta, sorted by position:
2θ = 11.12°, intensity 37; 2θ = 22.35°, intensity 29; 2θ = 27.21°, intensity 71; 2θ = 29.47°, intensity 26; 2θ = 37.89°, intensity 83; 2θ = 39.80°, intensity 100; 2θ = 46.12°, intensity 27; 2θ = 56.12°, intensity 27; 2θ = 62.11°, intensity 31; 2θ = 70.99°, intensity 26

***

Structure and calculated powder X-ray diffraction pattern of Mn5Au (a PBE-relaxed structure; Cu Kα (λ = 1.5418 Å)).
Peak positions follow from Bragg's law for the DFT cell and can differ from measured ones.

Structural model:
abc: 2.6889 2.6889 10.8955
angles: 90.00 90.00 90.00
Element x y z (fractional)
1 Mn 0.0000 0.0000 0.0000
2 Mn 0.0000 0.0000 0.3051
3 Mn 0.0000 0.0000 0.6949
4 Mn 0.5000 0.5000 0.1508
5 Mn 0.5000 0.5000 0.8492
6 Au 0.5000 0.5000 0.5000

Most intense lines, 10 to 90 degrees two-theta, sorted by position:
2θ = 16.27°, intensity 20; 2θ = 24.51°, intensity 11; 2θ = 34.35°, intensity 19; 2θ = 37.29°, intensity 25; 2θ = 41.80°, intensity 100; 2θ = 47.84°, intensity 36; 2θ = 50.24°, intensity 11; 2θ = 69.98°, intensity 11; 2θ = 71.90°, intensity 15; 2θ = 84.96°, intensity 24

***

Structure and calculated powder X-ray diffraction pattern of Hf2ZrN (a PBE-relaxed structure; Cu Kα (λ = 1.5418 Å)).
Peak positions follow from Bragg's law for the DFT cell and can differ from measured ones.

Structural model:
abc: 5.6180 5.1778 9.8207
angles: 90.00 90.00 90.00
Element x y z (fractional)
1 Hf 0.0756 0.2465 0.0789
2 Hf 0.0756 0.2535 0.4211
3 Hf 0.4244 0.7465 0.4211
4 Hf 0.4244 0.7535 0.0789
5 Hf 0.5756 0.2465 0.9211
6 Hf 0.5756 0.2535 0.5789
7 Hf 0.9244 0.7465 0.5789
8 Hf 0.9244 0.7535 0.9211
9 Zr 0.0942 0.2500 0.7500
10 Zr 0.4058 0.7500 0.7500
11 Zr 0.5942 0.2500 0.2500
12 Zr 0.9058 0.7500 0.2500
13 N 0.2500 0.0000 0.9218
14 N 0.2500 0.5000 0.5782
15 N 0.7500 0.0000 0.0782
16 N 0.7500 0.5000 0.4218

Most intense lines, 10 to 90 degrees two-theta, sorted by position:
2θ = 31.63°, intensity 19; 2θ = 31.86°, intensity 12; 2θ = 34.65°, intensity 35; 2θ = 36.19°, intensity 100; 2θ = 36.39°, intensity 45; 2θ = 47.62°, intensity 15; 2θ = 56.62°, intensity 19; 2θ = 63.10°, intensity 20; 2θ = 68.11°, intensity 19; 2θ = 68.82°, intensity 14